La5Mo4O16: simulated powder diffractogram (λ = 1.5418 Å (Cu Kα)), based on a PBE+U-relaxed structure.

Top 6 peaks for 10° ≤ 2θ ≤ 90°, sorted by position:
hkl	2θ (°)	d (Å)	I/Imax
1 1 2	26.6	3.350	34
1 -1 2	27.7	3.218	61
-1 1 2	28.0	3.186	56
1 1 -2	29.2	3.059	75
0 2 0	31.4	2.847	100
2 -2 0	45.0	2.017	40

Cell and atoms:
```
La5Mo4O16
1.0
5.704 0.000 0.000
0.005 5.709 0.000
0.780 0.626 10.531
La Mo O
5 4 16
Direct
0.000 0.000 0.000
0.033 0.512 0.282
0.482 0.971 0.704
0.518 0.029 0.296
0.967 0.488 0.718
0.000 0.000 0.500
0.442 0.440 0.895
0.500 0.500 0.500
0.558 0.560 0.105
0.080 0.086 0.325
0.178 0.297 0.548
0.218 0.212 0.827
0.223 0.700 0.862
0.300 0.780 0.139
0.305 0.314 0.065
0.312 0.825 0.504
0.450 0.454 0.304
0.550 0.546 0.696
0.688 0.175 0.496
0.695 0.686 0.935
0.700 0.220 0.861
0.777 0.300 0.138
0.782 0.788 0.173
0.822 0.703 0.452
0.920 0.914 0.675
```